Diffraction record for Ba2Tb2Ti2Cu2O11. The X-ray powder pattern is simulated, not measured: it uses DFT lattice parameters and positions (PBE) and Cu Kα (weighted mean of Kα1 and Kα2).
Lines closer than 0.1° are merged.

Main lines, in order of falling intensity (2θ from 10° to 90°):
| h k l | Position (°2θ) | I (rel.) |
| --- | --- | --- |
| 1 0 4 | 32.07 | 100 |
| 1 1 0 | 32.42 | 51 |
| 2 1 4 | 57.61 | 37 |
| 2 0 0 | 46.50 | 33 |
| 1 1 4 | 39.69 | 27 |
| 1 0 0 | 22.77 | 19 |
| 1 1 8 | 56.95 | 17 |
| 2 2 0 | 67.87 | 11 |
| 3 1 0 | 77.23 | 11 |
| 2 0 8 | 67.07 | 11 |

Cell and atoms:
```
data_Ba2Tb2Ti2Cu2O11
_cell_length_a 3.906
_cell_length_b 3.906
_cell_length_c 15.960
_cell_angle_alpha 90.00
_cell_angle_beta 90.00
_cell_angle_gamma 90.00
_space_group_name_H-M_alt 'P 4/m m m'
_space_group_IT_number 123
_space_group_name_Hall '-P 4 2'
loop_
_atom_site_label
_atom_site_type_symbol
_atom_site_fract_x
_atom_site_fract_y
_atom_site_fract_z
Ba1 Ba 0.000 0.000 0.232
Tb1 Tb 0.000 0.000 0.000
Tb2 Tb 0.000 0.000 0.500
Ti1 Ti 0.500 0.500 0.376
Cu1 Cu 0.500 0.500 0.101
O1 O 0.000 0.500 0.091
O2 O 0.000 0.500 0.391
O3 O 0.500 0.500 0.259
O4 O 0.500 0.500 0.500
```